(1)
Diffraction record for Li3BiP2O8. The powder diffraction line list is simulated, not measured: it uses the GGA-PBE geometry in the Materials Project and Cu Kα (weighted mean of Kα1 and Kα2).
Lines closer than 0.1° are merged.

Cell and atoms:
Cell: 5.0968 19.0305 8.2828 Å, 90.00 127.00 90.00°
Space group P2_1/c (No. 14)
Inequivalent atoms, fractional coordinates:
Li: 0.0458 0.0460 0.3156 (multiplicity 4)
Li: 0.2685 0.6204 0.9976 (multiplicity 4)
Li: 0.3751 0.2016 0.6735 (multiplicity 4)
Bi: 0.1841 0.1216 0.9857 (multiplicity 4)
P: 0.0998 0.7156 0.2895 (multiplicity 4)
P: 0.4646 0.0344 0.7516 (multiplicity 4)
O: 0.0384 0.6767 0.1080 (multiplicity 4)
O: 0.1362 0.0540 0.7203 (multiplicity 4)
O: 0.1573 0.7033 0.7814 (multiplicity 4)
O: 0.1969 0.2048 0.2013 (multiplicity 4)
O: 0.2349 0.5537 0.5300 (multiplicity 4)
O: 0.4197 0.6890 0.4931 (multiplicity 4)
O: 0.4546 0.5479 0.2261 (multiplicity 4)
O: 0.4697 0.0721 0.5909 (multiplicity 4)

The 10 most intense peaks (2θ = 15–90°), by angle:
| Position (°2θ) | Rel. int. | h k l |
| --- | --- | --- |
| 18.65 | 46 | 0 4 0 |
| 19.39 | 80 | 0 3 1 |
| 19.76 | 100 | 1 2 -1 |
| 22.69 | 55 | 1 1 -2 |
| 26.01 | 50 | 1 3 0 |
| 27.01 | 49 | 0 5 1 |
| 32.43 | 39 | 1 5 -2 |
| 32.98 | 83 | 0 4 2 |
| 33.27 | 76 | 1 6 -1 |
| 33.40 | 42 | 1 2 1 |

(2)
Diffraction record for LiBiP2O7. The powder diffraction line list is simulated, not measured: it uses the GGA-PBE geometry in the Materials Project and Cu Kα (weighted mean of Kα1 and Kα2).
Lines closer than 0.1° are merged.

Cell and atoms:
Cell: 10.1645 8.9872 13.9476 Å, 90.00 109.57 90.00°
Space group C2/c (No. 15)
Inequivalent atoms, fractional coordinates:
Li: 0.1170 0.1123 0.1246 (multiplicity 8)
Bi: 0.1281 0.2669 0.6407 (multiplicity 8)
P: 0.1317 0.4531 0.4280 (multiplicity 8)
P: 0.1815 0.0708 0.8711 (multiplicity 8)
O: 0.0024 0.4734 0.8562 (multiplicity 8)
O: 0.0498 0.0734 0.9027 (multiplicity 8)
O: 0.0990 0.3015 0.4670 (multiplicity 8)
O: 0.1825 0.0686 0.3064 (multiplicity 8)
O: 0.1837 0.4355 0.0262 (multiplicity 8)
O: 0.2067 0.2168 0.8222 (multiplicity 8)
O: 0.2469 0.0522 0.6144 (multiplicity 8)

The 10 most intense peaks (2θ = 15–90°), by angle:
| Position (°2θ) | Rel. int. | h k l |
| --- | --- | --- |
| 16.44 | 100 | 1 1 1 |
| 18.92 | 16 | 2 0 -2 |
| 21.66 | 36 | 1 1 -3 |
| 27.14 | 25 | 0 0 4 |
| 27.49 | 46 | 2 2 -2 |
| 28.27 | 35 | 3 1 -1 |
| 32.71 | 18 | 1 3 1 |
| 33.23 | 20 | 2 2 2 |
| 33.76 | 13 | 0 2 4 |
| 40.27 | 15 | 3 3 -1 |

(3)
Diffraction record for LiBiP2O7. The powder diffraction line list is simulated, not measured: it uses the GGA-PBE geometry in the Materials Project and Cu Kα (weighted mean of Kα1 and Kα2).
Lines closer than 0.1° are merged.

Cell and atoms:
Cell: 7.2305 9.1178 9.9039 Å, 90.00 105.25 90.00°
Space group P2_1/c (No. 14)
Inequivalent atoms, fractional coordinates:
Li: 0.2099 0.1026 0.4063 (multiplicity 4)
Bi: 0.2257 0.7216 0.5073 (multiplicity 4)
P: 0.0639 0.0813 0.7930 (multiplicity 4)
P: 0.4453 0.5341 0.2769 (multiplicity 4)
O: 0.0308 0.5613 0.3640 (multiplicity 4)
O: 0.0404 0.2206 0.8744 (multiplicity 4)
O: 0.0629 0.5792 0.8591 (multiplicity 4)
O: 0.2851 0.0905 0.7862 (multiplicity 4)
O: 0.3640 0.5405 0.6573 (multiplicity 4)
O: 0.4106 0.6706 0.3579 (multiplicity 4)
O: 0.4229 0.5670 0.1212 (multiplicity 4)

The 10 most intense peaks (2θ = 15–90°), by angle:
| Position (°2θ) | Rel. int. | h k l |
| --- | --- | --- |
| 16.00 | 100 | 1 1 0 |
| 21.88 | 43 | 1 1 -2 |
| 26.36 | 12 | 1 2 1 |
| 27.05 | 83 | 0 2 2 |
| 27.41 | 27 | 2 0 -2 |
| 32.12 | 15 | 1 3 0 |
| 32.32 | 22 | 2 2 0 |
| 39.10 | 13 | 1 3 2 |
| 39.67 | 15 | 2 0 -4 |
| 40.94 | 13 | 2 2 2 |

(4)
Diffraction record for Li3BiP2O8. The powder diffraction line list is simulated, not measured: it uses the GGA-PBE geometry in the Materials Project and Cu Kα (weighted mean of Kα1 and Kα2).
Lines closer than 0.1° are merged.

Cell and atoms:
Cell: 7.6754 8.5328 8.5351 Å, 60.03 89.98 89.99°
Space group P1 (No. 1)
Inequivalent atoms, fractional coordinates:
Li: 0.0000 0.0000 0.0000 (multiplicity 1)
Li: 0.9999 0.3303 0.3579 (multiplicity 1)
Li: 0.0055 0.6349 0.6939 (multiplicity 1)
Li: 0.7329 0.3142 0.0355 (multiplicity 1)
Li: 0.7334 0.9805 0.6715 (multiplicity 1)
Li: 0.7389 0.6705 0.3439 (multiplicity 1)
Li: 0.8679 0.9888 0.3513 (multiplicity 1)
Li: 0.8691 0.3223 0.6841 (multiplicity 1)
Li: 0.8819 0.6485 0.0259 (multiplicity 1)
Bi: 0.3161 0.3219 0.6817 (multiplicity 1)
Bi: 0.3752 0.6861 0.9996 (multiplicity 1)
Bi: 0.4182 0.9874 0.3499 (multiplicity 1)
P: 0.1108 0.9630 0.6800 (multiplicity 1)
P: 0.1144 0.3171 0.0458 (multiplicity 1)
P: 0.1147 0.6844 0.3214 (multiplicity 1)
P: 0.6200 0.3482 0.3533 (multiplicity 1)
P: 0.6228 0.6255 0.7062 (multiplicity 1)
P: 0.6243 0.9896 0.9877 (multiplicity 1)
O: 0.0932 0.5714 0.2276 (multiplicity 1)
O: 0.0969 0.8705 0.8890 (multiplicity 1)
O: 0.1019 0.2386 0.9134 (multiplicity 1)
O: 0.1044 0.1737 0.5954 (multiplicity 1)
O: 0.1072 0.5261 0.9333 (multiplicity 1)
O: 0.1125 0.5557 0.5336 (multiplicity 1)
O: 0.2881 0.2613 0.1525 (multiplicity 1)
O: 0.2882 0.8992 0.6421 (multiplicity 1)
O: 0.2913 0.7874 0.2566 (multiplicity 1)
O: 0.4465 0.0191 0.8869 (multiplicity 1)
O: 0.4455 0.4045 0.4030 (multiplicity 1)
O: 0.4485 0.5203 0.7609 (multiplicity 1)
O: 0.6246 0.0753 0.1130 (multiplicity 1)
O: 0.6284 0.1367 0.4325 (multiplicity 1)
O: 0.6278 0.7415 0.8010 (multiplicity 1)
O: 0.6322 0.4446 0.1448 (multiplicity 1)
O: 0.6355 0.7564 0.4964 (multiplicity 1)
O: 0.6437 0.7812 0.1030 (multiplicity 1)
O: 0.7742 0.0741 0.8503 (multiplicity 1)
O: 0.7752 0.4009 0.4343 (multiplicity 1)
O: 0.7789 0.4934 0.7660 (multiplicity 1)
O: 0.9580 0.2409 0.1789 (multiplicity 1)
O: 0.9586 0.9055 0.6015 (multiplicity 1)
O: 0.9629 0.8211 0.2715 (multiplicity 1)

The 10 most intense peaks (2θ = 15–90°), by angle:
| Position (°2θ) | Rel. int. | h k l |
| --- | --- | --- |
| 20.81 | 38 | 0 1 2 |
| 23.86 | 100 | -1 1 2 |
| 31.35 | 51 | -2 1 2 |
| 36.47 | 21 | 0 0 3 |
| 38.37 | 29 | 1 0 -3 |
| 41.14 | 11 | -3 2 1 |
| 44.05 | 19 | 1 2 4 |
| 48.83 | 17 | 2 2 4 |
| 58.47 | 15 | -1 4 5 |
| 62.46 | 14 | -2 1 5 |

(5)
Diffraction record for Li3Bi3P4O16. The powder diffraction line list is simulated, not measured: it uses the GGA-PBE geometry in the Materials Project and Cu Kα (weighted mean of Kα1 and Kα2).
Lines closer than 0.1° are merged.

Cell and atoms:
Cell: 17.9865 6.7459 10.9869 Å, 90.00 92.41 90.00°
Space group C2/c (No. 15)
Inequivalent atoms, fractional coordinates:
Li: 0.1558 0.0843 0.2620 (multiplicity 8)
Li: 0.2500 0.2500 0.5000 (multiplicity 4)
Bi: 0.0000 0.1437 0.7500 (multiplicity 4)
Bi: 0.1391 0.3163 0.0092 (multiplicity 8)
P: 0.0662 0.1901 0.4937 (multiplicity 8)
P: 0.1915 0.4429 0.7581 (multiplicity 8)
O: 0.0091 0.2845 0.9686 (multiplicity 8)
O: 0.0662 0.0904 0.3662 (multiplicity 8)
O: 0.0874 0.0320 0.5944 (multiplicity 8)
O: 0.1255 0.3557 0.4945 (multiplicity 8)
O: 0.1308 0.2798 0.7862 (multiplicity 8)
O: 0.1466 0.3668 0.2184 (multiplicity 8)
O: 0.2366 0.4577 0.8845 (multiplicity 8)
O: 0.2460 0.3988 0.6581 (multiplicity 8)

The 10 most intense peaks (2θ = 15–90°), by angle:
| Position (°2θ) | Rel. int. | h k l |
| --- | --- | --- |
| 16.09 | 100 | 1 1 -1 |
| 19.81 | 61 | 3 1 0 |
| 21.19 | 23 | 3 1 -1 |
| 25.08 | 34 | 4 0 -2 |
| 26.16 | 26 | 4 0 2 |
| 28.37 | 29 | 1 1 3 |
| 29.58 | 97 | 5 1 1 |
| 32.63 | 29 | 0 0 4 |
| 36.79 | 22 | 5 1 -3 |
| 37.34 | 17 | 2 2 -3 |

(6)
Diffraction record for LiBiP4O12. The powder diffraction line list is simulated, not measured: it uses the GGA-PBE geometry in the Materials Project and Cu Kα (weighted mean of Kα1 and Kα2).
Lines closer than 0.1° are merged.

Cell and atoms:
Cell: 6.9822 9.2379 7.5581 Å, 90.00 94.18 90.00°
Space group P2_1 (No. 4)
Inequivalent atoms, fractional coordinates:
Li: 0.2177 0.0000 0.2853 (multiplicity 2)
Bi: 0.2440 0.6579 0.7684 (multiplicity 2)
P: 0.0072 0.1612 0.9205 (multiplicity 2)
P: 0.0978 0.4601 0.3790 (multiplicity 2)
P: 0.3947 0.2917 0.9072 (multiplicity 2)
P: 0.4515 0.6312 0.4112 (multiplicity 2)
O: 0.0238 0.0816 0.7351 (multiplicity 2)
O: 0.0385 0.3139 0.3082 (multiplicity 2)
O: 0.0499 0.0613 0.0776 (multiplicity 2)
O: 0.0677 0.4915 0.5719 (multiplicity 2)
O: 0.1648 0.2824 0.9006 (multiplicity 2)
O: 0.1831 0.7374 0.0690 (multiplicity 2)
O: 0.3171 0.4934 0.3371 (multiplicity 2)
O: 0.3178 0.7490 0.4699 (multiplicity 2)
O: 0.4043 0.0770 0.4500 (multiplicity 2)
O: 0.4353 0.4428 0.8452 (multiplicity 2)
O: 0.4432 0.1712 0.7630 (multiplicity 2)
O: 0.4693 0.2439 0.0893 (multiplicity 2)

The 10 most intense peaks (2θ = 15–90°), by angle:
| Position (°2θ) | Rel. int. | h k l |
| --- | --- | --- |
| 15.17 | 40 | 0 1 1 |
| 15.94 | 100 | 1 1 0 |
| 17.96 | 35 | 1 0 1 |
| 19.22 | 54 | 0 2 0 |
| 26.42 | 65 | 1 2 1 |
| 27.80 | 36 | 1 1 -2 |
| 29.11 | 27 | 2 1 -1 |
| 30.62 | 43 | 2 1 1 |
| 37.10 | 29 | 1 0 -3 |
| 41.49 | 29 | 2 3 1 |